The following is a theoretical powder diffraction line list of Sr2CdBiAs. It was derived from DFT lattice parameters and positions (PBE), using Cu Kα.
Intensities are scaled so that the largest is 100.

The 10 most intense peaks (2θ from 10° to 90°), by intensity:
index	two_theta	I (rel.)
1 3 2	34.1	100
1 5 0	31.0	100
0 2 1	15.3	45
0 4 3	41.3	40
2 0 0	38.6	39
1 3 0	24.0	35
0 0 2	23.8	35
0 2 2	25.8	30
1 5 2	39.5	24
0 8 2	46.5	20

Cell and atoms:
```
data_Sr2CdBiAs
_chemical_formula_sum 'Sr8 Cd4 Bi4 As4'
_cell_length_a 4.6695
_cell_length_b 18.3575
_cell_length_c 7.4667
_cell_angle_alpha 90.00
_cell_angle_beta 90.00
_cell_angle_gamma 90.00
_space_group_name_H-M_alt 'C m c 21'
_space_group_IT_number 36
_space_group_name_Hall 'C 2c -2'
loop_
_atom_site_label
_atom_site_type_symbol
_atom_site_fract_x
_atom_site_fract_y
_atom_site_fract_z
Sr1 Sr 0.0000 0.0219 0.0000
Sr2 Sr 0.0000 0.1880 0.3014
Cd1 Cd 0.0000 0.4049 0.1556
Bi1 Bi 0.0000 0.1779 0.7785
As1 As 0.0000 0.4402 0.7865
```